The following is a simulated XRD peak list of La5Sm5Ge6. It was derived from a GGA-PBE-relaxed structure, using Cu Kα (weighted mean of Kα1 and Kα2).
Intensities are scaled so that the largest is 100.

Structure:
```
data_La5Sm5Ge6
_chemical_formula_sum 'La10 Sm10 Ge12'
_space_group_name_H-M_alt 'A m m 2'
_space_group_IT_number 38
_cell_length_a 6.731
_cell_length_b 15.352
_cell_length_c 8.915
_cell_angle_alpha 90.00
_cell_angle_beta 90.00
_cell_angle_gamma 90.00
loop_
_space_group_symop_operation_xyz
'x,y,z'
'-x,-y,z'
'-x,y,z'
'x,-y,z'
'x,y+1/2,z+1/2'
'-x,-y+1/2,z+1/2'
'-x,y+1/2,z+1/2'
'x,-y+1/2,z+1/2'
loop_
_atom_site_label
_atom_site_type_symbol
_atom_site_fract_x
_atom_site_fract_y
_atom_site_fract_z
_atom_site_occupancy
La1 La 0.000 0.000 0.000 1
La2 La 0.000 0.123 0.373 1
La3 La 0.500 0.124 0.125 1
Sm1 Sm 0.250 0.166 0.748 1
Sm2 Sm 0.500 0.000 0.501 1
Ge1 Ge 0.000 0.000 0.645 1
Ge2 Ge 0.000 0.198 0.051 1
Ge3 Ge 0.500 0.000 0.850 1
Ge4 Ge 0.500 0.194 0.448 1
```

Most intense lines, 2θ = 10–80°, sorted by position:
(2 2 0), 2θ = 29.0°, intensity 31; (0 4 2), 2θ = 30.7°, intensity 26; (2 0 2), 2θ = 33.4°, intensity 100; (1 1 3), 2θ = 33.5°, intensity 64; (1 5 1), 2θ = 33.6°, intensity 34; (0 3 3), 2θ = 34.9°, intensity 33